No. 1
For Li3V6Fe4Cu2O24, a structure optimized by DFT (GGA+U) gives the calculated powder diffractogram in this record (Cu Kα X-rays).
Intensities are scaled so that the largest is 100.

Largest 10 diffraction maxima, in order of rising 2θ, 15° ≤ 2θ ≤ 90°:
- 4.964 Å, 2θ = 17.87°, rel. 18
- 3.725 Å, 2θ = 23.89°, rel. 24
- 3.276 Å, 2θ = 27.22°, rel. 23
- 3.262 Å, 2θ = 27.34°, rel. 70
- 3.198 Å, 2θ = 27.90°, rel. 74
- 3.185 Å, 2θ = 28.02°, rel. 48
- 3.068 Å, 2θ = 29.11°, rel. 100
- 2.925 Å, 2θ = 30.57°, rel. 26
- 1.685 Å, 2θ = 54.45°, rel. 25
- 1.679 Å, 2θ = 54.67°, rel. 24

Cell and atoms:
abc: 6.7551 8.2755 9.8773
angles: 106.22 103.53 105.01
Fractional coordinates of all 39 atoms:
Li: 0.0000 0.0000 0.0000
Li: 0.4214 0.0863 0.0897
Li: 0.5786 0.9137 0.9103
V: 0.1492 0.6162 0.8396
V: 0.2260 0.1647 0.7681
V: 0.4127 0.2336 0.3761
V: 0.5873 0.7664 0.6239
V: 0.7740 0.8353 0.2319
V: 0.8508 0.3838 0.1604
Fe: 0.0404 0.7044 0.5094
Fe: 0.3685 0.4503 0.1064
Fe: 0.6315 0.5497 0.8936
Fe: 0.9596 0.2956 0.4906
Cu: 0.2956 0.8114 0.3114
Cu: 0.7044 0.1886 0.6886
O: 0.0094 0.2169 0.6678
O: 0.0839 0.5603 0.6432
O: 0.0915 0.4548 0.1281
O: 0.1811 0.9466 0.6742
O: 0.2292 0.1843 0.9544
O: 0.2361 0.2898 0.4634
O: 0.2751 0.8406 0.9293
O: 0.3007 0.0141 0.2453
O: 0.3275 0.5124 0.9168
O: 0.3401 0.7350 0.4884
O: 0.4563 0.3488 0.2562
O: 0.4902 0.2790 0.7693
O: 0.5098 0.7210 0.2307
O: 0.5437 0.6512 0.7438
O: 0.6599 0.2650 0.5116
O: 0.6725 0.4876 0.0832
O: 0.6993 0.9859 0.7547
O: 0.7249 0.1594 0.0707
O: 0.7639 0.7102 0.5366
O: 0.7708 0.8157 0.0456
O: 0.8189 0.0534 0.3258
O: 0.9085 0.5452 0.8719
O: 0.9161 0.4397 0.3568
O: 0.9906 0.7831 0.3322

No. 2
For Li4V2Fe3Cu3O16, a structure optimized by DFT (GGA+U) gives the calculated powder diffractogram in this record (Cu Kα X-rays).
Intensities are scaled so that the largest is 100.

Largest 10 diffraction maxima, in order of rising 2θ, 15° ≤ 2θ ≤ 90°:
- 4.761 Å, 2θ = 18.64°, rel. 100
- 4.530 Å, 2θ = 19.60°, rel. 46
- 4.450 Å, 2θ = 19.95°, rel. 48
- 4.406 Å, 2θ = 20.16°, rel. 27
- 2.542 Å, 2θ = 35.30°, rel. 42
- 2.472 Å, 2θ = 36.34°, rel. 35
- 2.446 Å, 2θ = 36.74°, rel. 30
- 2.007 Å, 2θ = 45.18°, rel. 32
- 1.965 Å, 2θ = 46.19°, rel. 32
- 1.468 Å, 2θ = 63.37°, rel. 38

Cell and atoms:
abc: 5.8751 5.8751 9.5297
angles: 92.11 92.11 60.08
Fractional coordinates of all 28 atoms:
Li: 0.0000 0.0000 0.0000
Li: 0.0040 0.0040 0.5008
Li: 0.3245 0.3245 0.5866
Li: 0.6592 0.6592 0.0878
V: 0.3366 0.3366 0.9939
V: 0.6615 0.6615 0.4932
Fe: 0.1678 0.6477 0.2746
Fe: 0.6477 0.1678 0.2746
Fe: 0.8208 0.8208 0.7711
Cu: 0.1623 0.1623 0.2724
Cu: 0.3358 0.8258 0.7765
Cu: 0.8258 0.3358 0.7765
O: 0.0349 0.4763 0.1468
O: 0.1595 0.6433 0.9020
O: 0.1663 0.1663 0.9070
O: 0.3290 0.3290 0.3771
O: 0.3357 0.8079 0.3996
O: 0.4741 0.4741 0.1349
O: 0.4763 0.0349 0.1468
O: 0.5105 0.9520 0.6374
O: 0.5146 0.5146 0.6444
O: 0.6433 0.1595 0.9020
O: 0.6600 0.6600 0.8802
O: 0.8079 0.3357 0.3996
O: 0.8138 0.8138 0.4084
O: 0.9520 0.5105 0.6374
O: 0.9852 0.9852 0.1907
O: 0.9951 0.9951 0.6904

No. 3
For LuFeCuO4, a structure optimized by DFT (GGA+U) gives the calculated powder diffractogram in this record (Cu Kα X-rays).
Intensities are scaled so that the largest is 100.

Largest 10 diffraction maxima, in order of rising 2θ, 15° ≤ 2θ ≤ 90°:
- 4.049 Å, 2θ = 21.95°, rel. 28
- 3.000 Å, 2θ = 29.78°, rel. 78
- 2.704 Å, 2θ = 33.13°, rel. 100
- 2.567 Å, 2θ = 34.96°, rel. 61
- 2.142 Å, 2θ = 42.18°, rel. 15
- 1.894 Å, 2θ = 48.05°, rel. 34
- 1.745 Å, 2θ = 52.43°, rel. 43
- 1.603 Å, 2θ = 57.50°, rel. 13
- 1.505 Å, 2θ = 61.63°, rel. 21
- 1.466 Å, 2θ = 63.46°, rel. 39

Cell and atoms:
abc: 8.3450 8.3450 8.3450
angles: 24.14 24.14 24.14
Fractional coordinates of all 7 atoms:
Lu: 0.0000 0.0000 0.0000
Fe: 0.7912 0.7912 0.7912
Cu: 0.2169 0.2169 0.2169
O: 0.1307 0.1307 0.1307
O: 0.2965 0.2965 0.2965
O: 0.7113 0.7113 0.7113
O: 0.8741 0.8741 0.8741